Entry 1:
This entry pairs a crystal structure of Tm4Cd3Ir with its calculated powder XRD pattern. Radiation: Cu Kα (weighted mean of Kα1 and Kα2). Structure: a GGA-PBE-relaxed structure.
Neutral-atom scattering factors, no anomalous dispersion.

Main lines, sorted by position (2θ = 10–80°):
two_theta  I (rel.)
11.65  50
34.68  1000
35.95  496
39.10  38
47.89  76
51.76  175
61.31  145
63.81  338
73.17  86
76.23  55

Structural model:
Unit cell a=3.5325 b=3.5325 c=15.1957 alpha=90.00 beta=90.00 gamma=90.00
Element x y z (fractional)
Tm1 0.0000 0.0000 0.1039
Tm2 0.0000 0.0000 0.3706
Tm3 0.0000 0.0000 0.6294
Tm4 0.0000 0.0000 0.8961
Cd1 0.5000 0.5000 0.2417
Cd2 0.5000 0.5000 0.5000
Cd3 0.5000 0.5000 0.7583
Ir1 0.5000 0.5000 0.0000

=====

Entry 2:
This entry pairs a crystal structure of VCdIr with its calculated powder XRD pattern. Radiation: Cu Kα (weighted mean of Kα1 and Kα2). Structure: a GGA-PBE-relaxed structure.
Neutral-atom scattering factors, no anomalous dispersion.

Main lines, sorted by position (2θ = 10–80°):
two_theta  I (rel.)
22.59  349
32.93  1000
34.67  343
41.57  752
41.87  581
42.70  177
47.81  205
55.44  270
66.85  180
72.27  182

Structural model:
Unit cell a=6.4747 b=5.9193 c=4.5025 alpha=75.45 beta=62.24 gamma=42.31
Element x y z (fractional)
V1 0.2500 0.2500 0.2500
V2 0.7500 0.7500 0.7500
Cd1 0.1747 0.8253 0.1747
Cd2 0.8253 0.1747 0.8253
Ir1 0.3681 0.3681 0.6319
Ir2 0.6319 0.6319 0.3681

=====

Entry 3:
This entry pairs a crystal structure of Y4Cd3Ir with its calculated powder XRD pattern. Radiation: Cu Kα (weighted mean of Kα1 and Kα2). Structure: a GGA-PBE-relaxed structure.
Neutral-atom scattering factors, no anomalous dispersion.

Main lines, sorted by position (2θ = 10–80°):
two_theta  I (rel.)
11.66  49
24.65  43
34.28  1000
35.15  497
47.96  79
50.55  173
60.83  153
62.51  337
72.24  91
74.29  53

Structural model:
Unit cell a=3.6109 b=3.6109 c=15.1752 alpha=90.00 beta=90.00 gamma=90.00
Element x y z (fractional)
Y1 0.0000 0.0000 0.1053
Y2 0.0000 0.0000 0.3704
Y3 0.0000 0.0000 0.6296
Y4 0.0000 0.0000 0.8947
Cd1 0.5000 0.5000 0.2423
Cd2 0.5000 0.5000 0.5000
Cd3 0.5000 0.5000 0.7577
Ir1 0.5000 0.5000 0.0000

=====

Entry 4:
This entry pairs a crystal structure of Y6CdIr5 with its calculated powder XRD pattern. Radiation: Cu Kα (weighted mean of Kα1 and Kα2). Structure: a GGA-PBE-relaxed structure.
Neutral-atom scattering factors, no anomalous dispersion.

Main lines, sorted by position (2θ = 10–80°):
two_theta  I (rel.)
25.96  119
36.24  1000
37.04  471
50.98  93
53.30  82
53.46  81
64.67  180
66.14  83
66.23  167
66.33  85

Structural model:
Unit cell a=4.8503 b=7.1653 c=7.6746 alpha=90.00 beta=108.26 gamma=90.00
Element x y z (fractional)
Y1 0.0000 0.2366 0.0000
Y2 0.0000 0.7634 0.0000
Y3 0.3283 0.2460 0.6563
Y4 0.3283 0.7540 0.6563
Y5 0.6717 0.2460 0.3437
Y6 0.6717 0.7540 0.3437
Cd1 0.5000 0.5000 0.0000
Ir1 0.1608 0.5000 0.3234
Ir2 0.1676 0.0000 0.3354
Ir3 0.5000 0.0000 0.0000
Ir4 0.8324 0.0000 0.6646
Ir5 0.8392 0.5000 0.6766

=====

Entry 5:
This entry pairs a crystal structure of ZrCdIr with its calculated powder XRD pattern. Radiation: Cu Kα (weighted mean of Kα1 and Kα2). Structure: a GGA-PBE-relaxed structure.
Neutral-atom scattering factors, no anomalous dispersion.

Main lines, sorted by position (2θ = 10–80°):
two_theta  I (rel.)
19.02  115
27.10  113
36.13  629
38.65  1000
41.14  68
52.02  219
59.42  56
66.65  404
71.56  127
76.66  69

Structural model:
Unit cell a=3.5157 b=3.5157 c=9.3323 alpha=90.00 beta=90.00 gamma=90.00
Element x y z (fractional)
Zr1 0.0000 0.0000 0.0000
Zr2 0.5000 0.5000 0.5000
Cd1 0.0000 0.0000 0.3103
Cd2 0.5000 0.5000 0.8103
Ir1 0.0000 0.0000 0.6321
Ir2 0.5000 0.5000 0.1321

=====

Entry 6:
This entry pairs a crystal structure of Zr2CdIr with its calculated powder XRD pattern. Radiation: Cu Kα (weighted mean of Kα1 and Kα2). Structure: a GGA-PBE-relaxed structure.
Neutral-atom scattering factors, no anomalous dispersion.

Main lines, sorted by position (2θ = 10–80°):
two_theta  I (rel.)
12.41  322
36.58  516
36.69  509
36.96  1000
37.96  970
51.24  170
54.29  170
65.44  181
67.43  168
68.12  324

Structural model:
Unit cell a=3.3794 b=3.3262 c=7.1321 alpha=90.00 beta=90.16 gamma=90.00
Element x y z (fractional)
Zr1 0.0019 0.0000 0.2771
Zr2 0.9981 0.0000 0.7229
Cd1 0.5000 0.5000 0.0000
Ir1 0.5000 0.5000 0.5000

=====

Entry 7:
This entry pairs a crystal structure of K5Cd6 with its calculated powder XRD pattern. Radiation: Cu Kα (weighted mean of Kα1 and Kα2). Structure: a GGA-PBE-relaxed structure.
Neutral-atom scattering factors, no anomalous dispersion.

Main lines, sorted by position (2θ = 10–80°):
two_theta  I (rel.)
11.94  533
12.26  473
12.74  1000
14.50  404
26.44  409
26.65  588
32.83  451
33.76  507
34.51  528
36.42  501

Structural model:
Unit cell a=8.3737 b=8.3737 c=7.9305 alpha=100.39 beta=100.39 gamma=119.13
Element x y z (fractional)
K1 0.0000 0.0000 0.0000
K2 0.1578 0.8422 0.5000
K3 0.2984 0.7016 0.0000
K4 0.7016 0.2984 0.0000
K5 0.8422 0.1578 0.5000
Cd1 0.2273 0.4467 0.3400
Cd2 0.3664 0.3664 0.7080
Cd3 0.4467 0.2273 0.3400
Cd4 0.5533 0.7727 0.6600
Cd5 0.6336 0.6336 0.2920
Cd6 0.7727 0.5533 0.6600

=====

Entry 8:
This entry pairs a crystal structure of K3Cd2 with its calculated powder XRD pattern. Radiation: Cu Kα (weighted mean of Kα1 and Kα2). Structure: a GGA-PBE-relaxed structure.
Neutral-atom scattering factors, no anomalous dispersion.

Main lines, sorted by position (2θ = 10–80°):
two_theta  I (rel.)
17.34  721
19.89  512
25.15  807
26.13  755
28.74  1000
30.06  800
34.91  968
35.09  440
46.87  446
53.20  485

Structural model:
Unit cell a=5.0944 b=18.3005 c=5.1146 alpha=90.00 beta=90.00 gamma=90.00
Element x y z (fractional)
K1 0.0000 0.0000 0.0000
K2 0.0000 0.3524 0.5000
K3 0.0000 0.6476 0.5000
K4 0.5000 0.1476 0.5000
K5 0.5000 0.5000 0.0000
K6 0.5000 0.8524 0.5000
Cd1 0.0000 0.2070 0.0000
Cd2 0.0000 0.7930 0.0000
Cd3 0.5000 0.2930 0.0000
Cd4 0.5000 0.7070 0.0000

=====

Entry 9:
This entry pairs a crystal structure of KCd13 with its calculated powder XRD pattern. Radiation: Cu Kα (weighted mean of Kα1 and Kα2). Structure: a GGA-PBE-relaxed structure.
Neutral-atom scattering factors, no anomalous dispersion.

Main lines, sorted by position (2θ = 10–80°):
two_theta  I (rel.)
12.62  331
28.45  107
31.24  435
37.94  1000
38.50  512
60.09  193
63.23  91
66.67  95
72.22  146
77.95  103

Structural model:
Unit cell a=9.9196 b=9.9196 c=9.9196 alpha=60.00 beta=60.00 gamma=60.00
Element x y z (fractional)
K1 0.2500 0.2500 0.2500
K2 0.7500 0.7500 0.7500
Cd1 0.0000 0.0000 0.0000
Cd2 0.0588 0.3016 0.6984
Cd3 0.0588 0.6984 0.9412
Cd4 0.0588 0.9412 0.3016
Cd5 0.1984 0.4412 0.8016
Cd6 0.1984 0.5588 0.4412
Cd7 0.1984 0.8016 0.5588
Cd8 0.3016 0.0588 0.9412
Cd9 0.3016 0.6984 0.0588
Cd10 0.3016 0.9412 0.6984
Cd11 0.4412 0.1984 0.5588
Cd12 0.4412 0.5588 0.8016
Cd13 0.4412 0.8016 0.1984
Cd14 0.5000 0.5000 0.5000
Cd15 0.5588 0.1984 0.8016
Cd16 0.5588 0.4412 0.1984
Cd17 0.5588 0.8016 0.4412
Cd18 0.6984 0.0588 0.3016
Cd19 0.6984 0.3016 0.9412
Cd20 0.6984 0.9412 0.0588
Cd21 0.8016 0.1984 0.4412
Cd22 0.8016 0.4412 0.5588
Cd23 0.8016 0.5588 0.1984
Cd24 0.9412 0.0588 0.6984
Cd25 0.9412 0.3016 0.0588
Cd26 0.9412 0.6984 0.3016

=====

Entry 10:
This entry pairs a crystal structure of KCd6 with its calculated powder XRD pattern. Radiation: Cu Kα (weighted mean of Kα1 and Kα2). Structure: a GGA-PBE-relaxed structure.
Neutral-atom scattering factors, no anomalous dispersion.

Main lines, sorted by position (2θ = 10–80°):
two_theta  I (rel.)
18.51  451
28.55  211
30.65  365
32.34  337
32.75  663
35.22  613
37.47  1000
37.86  926
38.96  373
41.13  336

Structural model:
Unit cell a=9.4157 b=6.2525 c=12.2708 alpha=90.00 beta=90.00 gamma=90.00
Element x y z (fractional)
K1 0.2409 0.2500 0.0614
K2 0.2591 0.7500 0.5614
K3 0.7409 0.2500 0.4386
K4 0.7591 0.7500 0.9386
Cd1 0.0646 0.0143 0.3114
Cd2 0.0646 0.4857 0.3114
Cd3 0.0748 0.7500 0.0901
Cd4 0.0999 0.2500 0.5218
Cd5 0.1344 0.7500 0.8557
Cd6 0.1835 0.2500 0.7630
Cd7 0.3165 0.7500 0.2630
Cd8 0.3656 0.2500 0.3557
Cd9 0.4001 0.7500 0.0218
Cd10 0.4252 0.2500 0.5901
Cd11 0.4354 0.5143 0.8114
Cd12 0.4354 0.9857 0.8114
Cd13 0.5646 0.0143 0.1886
Cd14 0.5646 0.4857 0.1886
Cd15 0.5748 0.7500 0.4099
Cd16 0.5999 0.2500 0.9782
Cd17 0.6344 0.7500 0.6443
Cd18 0.6835 0.2500 0.7370
Cd19 0.8165 0.7500 0.2370
Cd20 0.8656 0.2500 0.1443
Cd21 0.9001 0.7500 0.4782
Cd22 0.9252 0.2500 0.9099
Cd23 0.9354 0.5143 0.6886
Cd24 0.9354 0.9857 0.6886

=====

Entry 11:
This entry pairs a crystal structure of KCd7 with its calculated powder XRD pattern. Radiation: Cu Kα (weighted mean of Kα1 and Kα2). Structure: a GGA-PBE-relaxed structure.
Neutral-atom scattering factors, no anomalous dispersion.

Main lines, sorted by position (2θ = 10–80°):
two_theta  I (rel.)
13.17  722
29.96  811
30.66  577
30.82  564
37.73  1000
38.50  781
38.91  366
39.09  363
39.25  581
40.25  368

Structural model:
Unit cell a=12.1558 b=8.3693 c=4.5909 alpha=90.00 beta=111.89 gamma=90.00
Element x y z (fractional)
K1 0.0000 0.0000 0.0000
K2 0.5000 0.5000 0.0000
Cd1 0.0000 0.5000 0.0000
Cd2 0.1391 0.3148 0.6404
Cd3 0.1391 0.6852 0.6404
Cd4 0.2402 0.0000 0.7404
Cd5 0.2598 0.5000 0.2596
Cd6 0.3609 0.1852 0.3596
Cd7 0.3609 0.8148 0.3596
Cd8 0.5000 0.0000 0.0000
Cd9 0.6391 0.1852 0.6404
Cd10 0.6391 0.8148 0.6404
Cd11 0.7402 0.5000 0.7404
Cd12 0.7598 0.0000 0.2596
Cd13 0.8609 0.3148 0.3596
Cd14 0.8609 0.6852 0.3596

=====

Entry 12:
This entry pairs a crystal structure of K7Cd with its calculated powder XRD pattern. Radiation: Cu Kα (weighted mean of Kα1 and Kα2). Structure: a GGA-PBE-relaxed structure.
Neutral-atom scattering factors, no anomalous dispersion.

Main lines, sorted by position (2θ = 10–80°):
two_theta  I (rel.)
14.66  155
15.33  115
25.14  1000
25.29  783
34.51  160
35.95  294
44.34  501
51.60  118
58.31  126
70.33  154

Structural model:
Unit cell a=12.1783 b=12.1783 c=12.1783 alpha=33.82 beta=33.82 gamma=33.82
Element x y z (fractional)
K1 0.0000 0.0000 0.0000
K2 0.1360 0.1360 0.1360
K3 0.2573 0.2573 0.2573
K4 0.3912 0.3912 0.3912
K5 0.6088 0.6088 0.6088
K6 0.7427 0.7427 0.7427
K7 0.8640 0.8640 0.8640
Cd1 0.5000 0.5000 0.5000

=====

Entry 13:
This entry pairs a crystal structure of K5Cd2 with its calculated powder XRD pattern. Radiation: Cu Kα (weighted mean of Kα1 and Kα2). Structure: a GGA-PBE-relaxed structure.
Neutral-atom scattering factors, no anomalous dispersion.

Main lines, sorted by position (2θ = 10–80°):
two_theta  I (rel.)
15.84  1000
19.36  483
26.63  416
26.80  389
27.34  469
27.48  651
28.45  420
29.09  753
30.23  534
30.79  940

Structural model:
Unit cell a=10.4669 b=10.4669 c=10.1047 alpha=97.40 beta=97.40 gamma=41.89
Element x y z (fractional)
K1 0.1335 0.3137 0.3264
K2 0.1379 0.8621 0.7500
K3 0.2624 0.5570 0.0740
K4 0.3137 0.1335 0.8264
K5 0.4430 0.7376 0.4260
K6 0.5570 0.2624 0.5740
K7 0.6863 0.8665 0.1736
K8 0.7376 0.4430 0.9260
K9 0.8621 0.1379 0.2500
K10 0.8665 0.6863 0.6736
Cd1 0.0756 0.7168 0.4190
Cd2 0.2832 0.9244 0.0810
Cd3 0.7168 0.0756 0.9190
Cd4 0.9244 0.2832 0.5810